No. 1
Structure and calculated powder XRD pattern of Sm2Sb5 (a GGA-PBE-relaxed structure; Cu Ka).
Lines closer than 0.1° are merged.

Main lines, in order of falling intensity (10 to 90 degrees two-theta):
hkl 4 1 0, 2θ = 34.49°, d = 2.600 Å, I 100; hkl 1 1 4, 2θ = 34.00°, d = 2.637 Å, I 90; hkl 3 1 -4, 2θ = 35.34°, d = 2.540 Å, I 86; hkl 0 2 0, 2θ = 42.41°, d = 2.131 Å, I 76; hkl 1 1 3, 2θ = 29.51°, d = 3.026 Å, I 75; hkl 3 0 -4, 2θ = 28.21°, d = 3.163 Å, I 37; hkl 1 0 4, 2θ = 26.55°, d = 3.357 Å, I 35; hkl 3 1 0, 2θ = 29.25°, d = 3.053 Å, I 35; hkl 2 1 -3, 2θ = 29.18°, d = 3.061 Å, I 30; hkl 2 1 3, 2θ = 32.66°, d = 2.742 Å, I 27

Cell and atoms:
```
data_Sm2Sb5
_symmetry_space_group_name_H-M 'P 1 21/m 1'
_symmetry_Int_Tables_number 11
_cell_length_a 13.433
_cell_length_b 4.262
_cell_length_c 15.033
_cell_angle_alpha 90.00
_cell_angle_beta 102.27
_cell_angle_gamma 90.00
loop_
_symmetry_equiv_pos_as_xyz
'x,y,z'
'-x,-y,-z'
'-x,y+1/2,-z'
'x,-y+1/2,z'
loop_
_atom_site_label
_atom_site_type_symbol
_atom_site_fract_x
_atom_site_fract_y
_atom_site_fract_z
_atom_site_occupancy
Sm1 Sm 0.049 0.250 0.364 1
Sm2 Sm 0.331 0.250 0.578 1
Sm3 Sm 0.336 0.250 0.856 1
Sm4 Sm 0.394 0.750 0.229 1
Sb1 Sb 0.032 0.250 0.107 1
Sb2 Sb 0.138 0.250 0.676 1
Sb3 Sb 0.142 0.750 0.224 1
Sb4 Sb 0.144 0.750 0.521 1
Sb5 Sb 0.150 0.750 0.822 1
Sb6 Sb 0.282 0.250 0.060 1
Sb7 Sb 0.290 0.250 0.352 1
Sb8 Sb 0.420 0.750 0.025 1
Sb9 Sb 0.424 0.750 0.448 1
Sb10 Sb 0.424 0.750 0.735 1
```

=====

No. 2
Structure and calculated powder XRD pattern of Sm5SnSb2 (a GGA-PBE-relaxed structure; Cu Ka).
Lines closer than 0.1° are merged.

Main lines, in order of falling intensity (10 to 90 degrees two-theta):
hkl 2 2 0, 2θ = 32.33°, d = 2.769 Å, I 100; hkl 2 2 -2, 2θ = 34.30°, d = 2.614 Å, I 47; hkl 6 2 -4, 2θ = 60.19°, d = 1.538 Å, I 31; hkl 6 2 -2, 2θ = 56.38°, d = 1.632 Å, I 16; hkl 0 4 0, 2θ = 49.29°, d = 1.849 Å, I 16; hkl 8 0 -4, 2θ = 67.68°, d = 1.384 Å, I 9; hkl 4 0 0, 2θ = 43.32°, d = 2.089 Å, I 9; hkl 4 4 -4, 2θ = 72.30°, d = 1.307 Å, I 7; hkl 6 2 -6, 2θ = 82.50°, d = 1.169 Å, I 6; hkl 8 0 -6, 2θ = 81.41°, d = 1.182 Å, I 6

Cell and atoms:
```
data_Sm5SnSb2
_symmetry_space_group_name_H-M 'C 1 m 1'
_symmetry_Int_Tables_number 8
_cell_length_a 11.154
_cell_length_b 7.393
_cell_length_c 7.397
_cell_angle_alpha 90.00
_cell_angle_beta 131.49
_cell_angle_gamma 90.00
loop_
_symmetry_equiv_pos_as_xyz
'x,y,z'
'x,-y,z'
'x+1/2,y+1/2,z'
'x+1/2,-y+1/2,z'
loop_
_atom_site_label
_atom_site_type_symbol
_atom_site_fract_x
_atom_site_fract_y
_atom_site_fract_z
_atom_site_occupancy
Sm1 Sm 0.000 0.000 0.000 1
Sm2 Sm 0.307 0.234 0.074 1
Sm3 Sm 0.307 0.234 0.542 1
Sn1 Sn 0.097 0.500 0.598 1
Sb1 Sb 0.051 0.000 0.554 1
Sb2 Sb 0.051 0.500 0.052 1
```

=====

No. 3
Structure and calculated powder XRD pattern of SmSnSb2 (a GGA-PBE-relaxed structure; Cu Ka).
Lines closer than 0.1° are merged.

Main lines, in order of falling intensity (10 to 90 degrees two-theta):
hkl 1 1 2, 2θ = 32.47°, d = 2.757 Å, I 100; hkl 2 0 0, 2θ = 40.63°, d = 2.221 Å, I 29; hkl 3 1 2, 2θ = 68.80°, d = 1.364 Å, I 23; hkl 0 0 4, 2θ = 31.05°, d = 2.880 Å, I 23; hkl 2 0 4, 2θ = 52.00°, d = 1.759 Å, I 21; hkl 1 1 6, 2θ = 56.14°, d = 1.638 Å, I 12; hkl 2 2 0, 2θ = 58.81°, d = 1.570 Å, I 10; hkl 2 2 4, 2θ = 68.00°, d = 1.379 Å, I 10; hkl 3 1 6, 2θ = 85.72°, d = 1.133 Å, I 9; hkl 1 0 4, 2θ = 37.21°, d = 2.417 Å, I 8

Cell and atoms:
```
data_SmSnSb2
_symmetry_space_group_name_H-M 'P 4/n m m'
_symmetry_Int_Tables_number 129
_cell_length_a 4.441
_cell_length_b 4.441
_cell_length_c 11.521
_cell_angle_alpha 90.00
_cell_angle_beta 90.00
_cell_angle_gamma 90.00
loop_
_symmetry_equiv_pos_as_xyz
'x,y,z'
'-x,-y,-z'
'-y+1/2,x,z'
'y+1/2,-x,-z'
'-x+1/2,-y+1/2,z'
'x+1/2,y+1/2,-z'
'y,-x+1/2,z'
'-y,x+1/2,-z'
'x+1/2,-y,-z'
'-x+1/2,y,z'
'-y,-x,-z'
'y,x,z'
'-x,y+1/2,-z'
'x,-y+1/2,z'
'y+1/2,x+1/2,-z'
'-y+1/2,-x+1/2,z'
loop_
_atom_site_label
_atom_site_type_symbol
_atom_site_fract_x
_atom_site_fract_y
_atom_site_fract_z
_atom_site_occupancy
Sm1 Sm 0.250 0.250 0.216 1
Sn1 Sn 0.250 0.750 0.500 1
Sb1 Sb 0.250 0.250 0.730 1
Sb2 Sb 0.250 0.750 0.000 1
```

=====

No. 4
Structure and calculated powder XRD pattern of Tb3SmSb (a GGA-PBE-relaxed structure; Cu Ka).
Lines closer than 0.1° are merged.

Main lines, in order of falling intensity (10 to 90 degrees two-theta):
hkl 2 1 2, 2θ = 30.41°, d = 2.939 Å, I 100; hkl 1 1 3, 2θ = 30.10°, d = 2.969 Å, I 59; hkl 2 0 5, 2θ = 34.98°, d = 2.565 Å, I 52; hkl 4 0 0, 2θ = 33.23°, d = 2.696 Å, I 33; hkl 1 0 5, 2θ = 31.78°, d = 2.816 Å, I 26; hkl 3 1 1, 2θ = 34.10°, d = 2.629 Å, I 25; hkl 0 2 0, 2θ = 45.37°, d = 1.999 Å, I 25; hkl 2 2 5, 2θ = 58.54°, d = 1.577 Å, I 24; hkl 0 1 3, 2θ = 28.91°, d = 3.088 Å, I 22; hkl 3 1 2, 2θ = 35.78°, d = 2.510 Å, I 18

Cell and atoms:
```
data_Tb3SmSb
_symmetry_space_group_name_H-M 'P n m a'
_symmetry_Int_Tables_number 62
_cell_length_a 10.784
_cell_length_b 3.998
_cell_length_c 14.584
_cell_angle_alpha 90.00
_cell_angle_beta 90.00
_cell_angle_gamma 90.00
loop_
_symmetry_equiv_pos_as_xyz
'x,y,z'
'-x,-y,-z'
'-x+1/2,-y,z+1/2'
'x+1/2,y,-z+1/2'
'x+1/2,-y+1/2,-z+1/2'
'-x+1/2,y+1/2,z+1/2'
'-x,y+1/2,-z'
'x,-y+1/2,z'
loop_
_atom_site_label
_atom_site_type_symbol
_atom_site_fract_x
_atom_site_fract_y
_atom_site_fract_z
_atom_site_occupancy
Tb1 Tb 0.083 0.250 0.076 1
Tb2 Tb 0.112 0.750 0.270 1
Tb3 Tb 0.137 0.750 0.685 1
Sm1 Sm 0.171 0.250 0.470 1
Sb1 Sb 0.130 0.250 0.861 1
```

=====

No. 5
Structure and calculated powder XRD pattern of Tb5Sm5Sb6 (a GGA-PBE-relaxed structure; Cu Ka).
Lines closer than 0.1° are merged.

Main lines, in order of falling intensity (10 to 90 degrees two-theta):
hkl 2 3 1, 2θ = 34.29°, d = 2.615 Å, I 100; hkl 1 4 2, 2θ = 33.06°, d = 2.709 Å, I 82; hkl 0 3 3, 2θ = 34.04°, d = 2.634 Å, I 43; hkl 1 1 3, 2θ = 33.15°, d = 2.703 Å, I 39; hkl 3 4 2, 2θ = 52.83°, d = 1.733 Å, I 32; hkl 0 4 2, 2θ = 29.86°, d = 2.992 Å, I 25; hkl 2 1 1, 2θ = 30.21°, d = 2.958 Å, I 23; hkl 0 6 0, 2θ = 33.93°, d = 2.642 Å, I 22; hkl 2 0 0, 2θ = 27.97°, d = 3.190 Å, I 21; hkl 2 6 2, 2θ = 49.03°, d = 1.858 Å, I 18

Cell and atoms:
```
data_Tb5Sm5Sb6
_symmetry_space_group_name_H-M 'A m m 2'
_symmetry_Int_Tables_number 38
_cell_length_a 6.380
_cell_length_b 15.853
_cell_length_c 9.114
_cell_angle_alpha 90.00
_cell_angle_beta 90.00
_cell_angle_gamma 90.00
loop_
_symmetry_equiv_pos_as_xyz
'x,y,z'
'-x,-y,z'
'-x,y,z'
'x,-y,z'
'x,y+1/2,z+1/2'
'-x,-y+1/2,z+1/2'
'-x,y+1/2,z+1/2'
'x,-y+1/2,z+1/2'
loop_
_atom_site_label
_atom_site_type_symbol
_atom_site_fract_x
_atom_site_fract_y
_atom_site_fract_z
_atom_site_occupancy
Tb1 Tb 0.000 0.000 0.000 1
Tb2 Tb 0.000 0.125 0.370 1
Tb3 Tb 0.500 0.124 0.122 1
Sm1 Sm 0.250 0.166 0.745 1
Sm2 Sm 0.500 0.000 0.492 1
Sb1 Sb 0.000 0.000 0.631 1
Sb2 Sb 0.000 0.193 0.053 1
Sb3 Sb 0.500 0.000 0.862 1
Sb4 Sb 0.500 0.194 0.438 1
```

=====

No. 6
Structure and calculated powder XRD pattern of TbSm8Sb6 (a GGA-PBE-relaxed structure; Cu Ka).
Lines closer than 0.1° are merged.

Main lines, in order of falling intensity (10 to 90 degrees two-theta):
hkl 1 1 6, 2θ = 30.40°, d = 2.940 Å, I 100; hkl 3 0 0, 2θ = 38.45°, d = 2.341 Å, I 59; hkl 1 1 3, 2θ = 24.30°, d = 3.663 Å, I 37; hkl 4 -2 6, 2θ = 49.79°, d = 1.831 Å, I 25; hkl 4 1 6, 2θ = 64.61°, d = 1.442 Å, I 23; hkl 2 -1 9, 2θ = 38.64°, d = 2.330 Å, I 21; hkl 2 -1 12, 2θ = 48.17°, d = 1.889 Å, I 18; hkl 3 0 15, 2θ = 67.93°, d = 1.380 Å, I 12; hkl 3 3 0, 2θ = 69.55°, d = 1.352 Å, I 10; hkl 5 -1 12, 2θ = 76.51°, d = 1.245 Å, I 9

Cell and atoms:
```
data_TbSm8Sb6
_symmetry_space_group_name_H-M 'R -3'
_symmetry_Int_Tables_number 148
_symmetry_space_group_name_Hall '-R 3'
_cell_length_a 8.1096
_cell_length_b 8.1096
_cell_length_c 25.6217
_cell_angle_alpha 90.00
_cell_angle_beta 90.00
_cell_angle_gamma 120.00
loop_
_atom_site_label
_atom_site_type_symbol
_atom_site_fract_x
_atom_site_fract_y
_atom_site_fract_z
_atom_site_occupancy
Tb1 Tb 0.0000 0.0000 0.0000 1
Sm1 Sm 0.0000 0.0000 0.3333 1
Sm2 Sm 0.0009 0.6644 0.8785 1
Sb1 Sb 0.0006 0.6703 0.0666 1
```

=====

No. 7
Structure and calculated powder XRD pattern of TbSm3Sb2 (a GGA-PBE-relaxed structure; Cu Ka).
Lines closer than 0.1° are merged.

Main lines, in order of falling intensity (10 to 90 degrees two-theta):
hkl 1 1 1, 2θ = 29.69°, d = 3.009 Å, I 100; hkl 1 1 2, 2θ = 34.76°, d = 2.581 Å, I 89; hkl 2 0 0, 2θ = 39.73°, d = 2.269 Å, I 58; hkl 0 0 3, 2θ = 30.88°, d = 2.896 Å, I 40; hkl 2 0 3, 2θ = 51.15°, d = 1.786 Å, I 39; hkl 3 1 2, 2θ = 68.93°, d = 1.362 Å, I 24; hkl 1 0 3, 2θ = 36.82°, d = 2.441 Å, I 21; hkl 3 1 1, 2θ = 66.00°, d = 1.416 Å, I 20; hkl 2 2 0, 2θ = 57.45°, d = 1.604 Å, I 20; hkl 2 2 3, 2θ = 66.65°, d = 1.403 Å, I 18

Cell and atoms:
```
data_TbSm3Sb2
_symmetry_space_group_name_H-M 'P -4 m 2'
_symmetry_Int_Tables_number 115
_cell_length_a 4.537
_cell_length_b 4.537
_cell_length_c 8.687
_cell_angle_alpha 90.00
_cell_angle_beta 90.00
_cell_angle_gamma 90.00
loop_
_symmetry_equiv_pos_as_xyz
'x,y,z'
'y,-x,-z'
'-x,-y,z'
'-y,x,-z'
'-x,y,z'
'-y,-x,-z'
'x,-y,z'
'y,x,-z'
loop_
_atom_site_label
_atom_site_type_symbol
_atom_site_fract_x
_atom_site_fract_y
_atom_site_fract_z
_atom_site_occupancy
Tb1 Tb 0.000 0.000 0.000 1
Sm1 Sm 0.000 0.500 0.353 1
Sm2 Sm 0.500 0.500 0.000 1
Sb1 Sb 0.000 0.500 0.722 1
```

=====

No. 8
Structure and calculated powder XRD pattern of TbSm3Sb2 (a GGA-PBE-relaxed structure; Cu Ka).
Lines closer than 0.1° are merged.

Main lines, in order of falling intensity (10 to 90 degrees two-theta):
hkl 5 1 -1, 2θ = 31.75°, d = 2.818 Å, I 100; hkl 1 1 2, 2θ = 30.59°, d = 2.923 Å, I 83; hkl 1 1 -3, 2θ = 34.75°, d = 2.582 Å, I 78; hkl 4 0 -3, 2θ = 28.15°, d = 3.170 Å, I 70; hkl 0 2 0, 2θ = 41.18°, d = 2.192 Å, I 57; hkl 4 0 2, 2θ = 35.27°, d = 2.545 Å, I 48; hkl 5 1 0, 2θ = 33.86°, d = 2.648 Å, I 47; hkl 6 0 -3, 2θ = 33.20°, d = 2.699 Å, I 46; hkl 2 0 -4, 2θ = 36.71°, d = 2.448 Å, I 43; hkl 5 1 4, 2θ = 62.92°, d = 1.477 Å, I 30

Cell and atoms:
```
data_TbSm3Sb2
_symmetry_space_group_name_H-M 'C 1 2/m 1'
_symmetry_Int_Tables_number 12
_cell_length_a 18.443
_cell_length_b 4.384
_cell_length_c 9.960
_cell_angle_alpha 90.00
_cell_angle_beta 115.77
_cell_angle_gamma 90.00
loop_
_symmetry_equiv_pos_as_xyz
'x,y,z'
'-x,-y,-z'
'-x,y,-z'
'x,-y,z'
'x+1/2,y+1/2,z'
'-x+1/2,-y+1/2,-z'
'-x+1/2,y+1/2,-z'
'x+1/2,-y+1/2,z'
loop_
_atom_site_label
_atom_site_type_symbol
_atom_site_fract_x
_atom_site_fract_y
_atom_site_fract_z
_atom_site_occupancy
Tb1 Tb 0.110 0.000 0.117 1
Sm1 Sm 0.054 0.000 0.677 1
Sm2 Sm 0.148 0.500 0.474 1
Sm3 Sm 0.188 0.500 0.892 1
Sb1 Sb 0.007 0.500 0.848 1
Sb2 Sb 0.250 0.000 0.725 1
```